For Dy7Y5, a GGA-PBE-relaxed structure gives the simulated PXRD pattern in this record (Cu Ka).
Intensities are scaled so that the largest is 100.

Main lines, by intensity (10 to 90 degrees two-theta):
- 2θ = 32.9°, d 2.724, I 100, hkl 6 0 -4
- 2θ = 29.9°, d 2.986, I 48, hkl 3 1 0
- 2θ = 31.0°, d 2.881, I 35, hkl 0 0 4
- 2θ = 61.1°, d 1.517, I 30, hkl 9 1 1
- 2θ = 37.3°, d 2.408, I 27, hkl 3 1 -4
- 2θ = 51.2°, d 1.785, I 26, hkl 0 2 0
- 2θ = 56.4°, d 1.631, I 21, hkl 6 0 -8
- 2θ = 62.2°, d 1.493, I 16, hkl 6 2 -4
- 2θ = 84.6°, d 1.145, I 13, hkl 15 1 -7
- 2θ = 49.3°, d 1.848, I 13, hkl 3 1 4

```
data_Dy7Y5
_cell_length_a 18.553
_cell_length_b 3.568
_cell_length_c 13.079
_cell_angle_alpha 90.00
_cell_angle_beta 118.24
_cell_angle_gamma 90.00
_space_group_name_H-M_alt 'C 1 2/m 1'
_space_group_IT_number 12
_space_group_name_Hall '-C 2y'
loop_
_atom_site_label
_atom_site_fract_x
_atom_site_fract_y
_atom_site_fract_z
Dy1 0.000 0.000 0.000
Dy2 0.027 0.500 0.250
Dy3 0.139 0.000 0.749
Dy4 0.166 0.000 0.499
Y1 0.000 0.500 0.500
Y2 0.166 0.500 0.999
Y3 0.195 0.000 0.251
```

---

For Dy17Y2, a GGA-PBE-relaxed structure gives the simulated PXRD pattern in this record (Cu Ka).
Intensities are scaled so that the largest is 100.

Main lines, by intensity (10 to 90 degrees two-theta):
- 2θ = 31.8°, d 2.816, I 100, hkl 0 3 3
- 2θ = 35.7°, d 2.512, I 96, hkl 2 2 3
- 2θ = 31.4°, d 2.845, I 68, hkl 2 0 5
- 2θ = 32.2°, d 2.779, I 58, hkl 2 2 0
- 2θ = 27.4°, d 3.251, I 33, hkl 0 2 4
- 2θ = 34.5°, d 2.599, I 31, hkl 1 1 6
- 2θ = 30.4°, d 2.940, I 28, hkl 0 0 6
- 2θ = 57.4°, d 1.604, I 28, hkl 6 0 0
- 2θ = 27.8°, d 3.208, I 27, hkl 3 0 0
- 2θ = 15.9°, d 5.557, I 25, hkl 1 1 0

```
data_Dy17Y2
_cell_length_a 11.1144
_cell_length_b 11.1144
_cell_length_c 17.6389
_cell_angle_alpha 90.00
_cell_angle_beta 90.00
_cell_angle_gamma 120.00
_space_group_name_H-M_alt 'R -3 m'
_space_group_IT_number 166
_space_group_name_Hall '-R 3 2"'
loop_
_atom_site_label
_atom_site_fract_x
_atom_site_fract_y
_atom_site_fract_z
Dy1 0.0000 0.0000 0.0952
Dy2 0.0000 0.2988 0.0000
Dy3 0.0000 0.5000 0.5000
Dy4 0.0141 0.5071 0.1350
Y1 0.0000 0.0000 0.3220
```

---

For Dy3Y7, a GGA-PBE-relaxed structure gives the simulated PXRD pattern in this record (Cu Ka).
Intensities are scaled so that the largest is 100.

Main lines, by intensity (10 to 90 degrees two-theta):
- 2θ = 31.9°, d 2.808, I 100, hkl 3 0 1
- 2θ = 33.7°, d 2.657, I 36, hkl 2 0 2
- 2θ = 28.8°, d 3.101, I 25, hkl 2 1 1
- 2θ = 33.2°, d 2.700, I 25, hkl 2 2 0
- 2θ = 61.0°, d 1.520, I 23, hkl 3 2 3
- 2θ = 50.7°, d 1.799, I 22, hkl 3 3 0
- 2θ = 28.6°, d 3.118, I 19, hkl 3 0 0
- 2θ = 27.6°, d 3.229, I 18, hkl 0 0 2
- 2θ = 23.5°, d 3.788, I 17, hkl 2 0 1
- 2θ = 46.7°, d 1.946, I 15, hkl 4 1 1

```
data_Dy3Y7
_cell_length_a 10.7998
_cell_length_b 10.7998
_cell_length_c 6.4586
_cell_angle_alpha 90.00
_cell_angle_beta 90.00
_cell_angle_gamma 120.00
_space_group_name_H-M_alt 'P 63 m c'
_space_group_IT_number 186
_space_group_name_Hall 'P 6c -2c'
loop_
_atom_site_label
_atom_site_fract_x
_atom_site_fract_y
_atom_site_fract_z
Dy1 0.2047 0.4095 0.0000
Y1 0.0595 0.5298 0.3416
Y2 0.1204 0.2408 0.5196
Y3 0.3333 0.6667 0.6558
```

---

For Dy3Y5, a GGA-PBE-relaxed structure gives the simulated PXRD pattern in this record (Cu Ka).
Intensities are scaled so that the largest is 100.

Main lines, by intensity (10 to 90 degrees two-theta):
- 2θ = 32.5°, d 2.753, I 100, hkl 1 1 2
- 2θ = 28.3°, d 3.154, I 24, hkl 0 0 4
- 2θ = 31.7°, d 2.821, I 23, hkl 0 2 0
- 2θ = 60.5°, d 1.530, I 22, hkl 2 2 0
- 2θ = 57.0°, d 1.615, I 20, hkl 1 3 2
- 2θ = 50.1°, d 1.821, I 19, hkl 2 0 0
- 2θ = 61.0°, d 1.519, I 16, hkl 0 1 8
- 2θ = 43.0°, d 2.103, I 15, hkl 0 2 4
- 2θ = 82.8°, d 1.166, I 13, hkl 2 1 8
- 2θ = 87.5°, d 1.115, I 8, hkl 2 4 0

```
data_Dy3Y5
_cell_length_a 3.642
_cell_length_b 5.643
_cell_length_c 12.613
_cell_angle_alpha 90.00
_cell_angle_beta 90.00
_cell_angle_gamma 90.00
_space_group_name_H-M_alt 'P m m 2'
_space_group_IT_number 25
_space_group_name_Hall 'P 2 -2'
loop_
_atom_site_label
_atom_site_fract_x
_atom_site_fract_y
_atom_site_fract_z
Dy1 0.000 0.000 0.000
Dy2 0.000 0.500 0.166
Dy3 0.500 0.000 0.247
Y1 0.000 0.000 0.498
Y2 0.000 0.500 0.665
Y3 0.500 0.000 0.750
Y4 0.500 0.500 0.415
Y5 0.500 0.500 0.917
```

---

For Dy3Y7, a GGA-PBE-relaxed structure gives the simulated PXRD pattern in this record (Cu Ka).
Intensities are scaled so that the largest is 100.

Main lines, by intensity (10 to 90 degrees two-theta):
- 2θ = 31.4°, d 2.851, I 100, hkl 5 1 0
- 2θ = 30.6°, d 2.919, I 83, hkl 3 1 -2
- 2θ = 32.8°, d 2.728, I 46, hkl 0 2 0
- 2θ = 33.2°, d 2.697, I 39, hkl 2 0 2
- 2θ = 47.4°, d 1.918, I 28, hkl 2 2 2
- 2θ = 57.7°, d 1.598, I 17, hkl 5 3 0
- 2θ = 61.8°, d 1.502, I 17, hkl 1 1 4
- 2θ = 61.8°, d 1.500, I 16, hkl 9 1 -4
- 2θ = 41.3°, d 2.188, I 16, hkl 8 0 -2
- 2θ = 58.6°, d 1.574, I 16, hkl 7 1 2

```
data_Dy3Y7
_cell_length_a 18.141
_cell_length_b 5.456
_cell_length_c 7.062
_cell_angle_alpha 90.00
_cell_angle_beta 112.83
_cell_angle_gamma 90.00
_space_group_name_H-M_alt 'C 1 2/m 1'
_space_group_IT_number 12
_space_group_name_Hall '-C 2y'
loop_
_atom_site_label
_atom_site_fract_x
_atom_site_fract_y
_atom_site_fract_z
Dy1 0.000 0.000 0.000
Dy2 0.199 0.000 0.700
Y1 0.000 0.000 0.500
Y2 0.109 0.500 0.360
Y3 0.109 0.500 0.860
Y4 0.200 0.000 0.200
```

---

For Dy3Y4Zn, a GGA-PBE-relaxed structure gives the simulated PXRD pattern in this record (Cu Ka).
Intensities are scaled so that the largest is 100.

Main lines, by intensity (10 to 90 degrees two-theta):
- 2θ = 31.5°, d 2.837, I 100, hkl 1 0 4
- 2θ = 35.7°, d 2.518, I 44, hkl 1 1 0
- 2θ = 61.5°, d 1.508, I 29, hkl 2 1 4
- 2θ = 28.8°, d 3.095, I 17, hkl 1 0 3
- 2θ = 51.3°, d 1.781, I 15, hkl 2 0 0
- 2θ = 49.7°, d 1.836, I 13, hkl 1 1 7
- 2θ = 60.1°, d 1.539, I 13, hkl 1 0 11
- 2θ = 53.4°, d 1.717, I 12, hkl 1 1 8
- 2θ = 33.4°, d 2.682, I 10, hkl 0 0 7
- 2θ = 82.9°, d 1.164, I 10, hkl 2 1 11

```
data_Dy3Y4Zn
_cell_length_a 3.561
_cell_length_b 3.561
_cell_length_c 18.772
_cell_angle_alpha 90.00
_cell_angle_beta 90.00
_cell_angle_gamma 90.00
_space_group_name_H-M_alt 'P 4/m m m'
_space_group_IT_number 123
_space_group_name_Hall '-P 4 2'
loop_
_atom_site_label
_atom_site_fract_x
_atom_site_fract_y
_atom_site_fract_z
Dy1 0.000 0.000 0.000
Dy2 0.000 0.000 0.268
Y1 0.500 0.500 0.135
Y2 0.500 0.500 0.405
Zn1 0.000 0.000 0.500
```

---

For DyY2Zn6, a GGA-PBE-relaxed structure gives the simulated PXRD pattern in this record (Cu Ka).
Intensities are scaled so that the largest is 100.

Main lines, by intensity (10 to 90 degrees two-theta):
- 2θ = 34.4°, d 2.607, I 100, hkl 1 1 1
- 2θ = 40.4°, d 2.234, I 61, hkl 3 0 0
- 2θ = 54.1°, d 1.696, I 27, hkl 2 2 1
- 2θ = 67.7°, d 1.384, I 25, hkl 3 0 2
- 2θ = 69.6°, d 1.351, I 24, hkl 4 1 1
- 2θ = 73.4°, d 1.290, I 10, hkl 3 3 0
- 2θ = 51.8°, d 1.763, I 10, hkl 0 0 2
- 2θ = 86.5°, d 1.125, I 8, hkl 1 1 3
- 2θ = 23.0°, d 3.870, I 7, hkl 1 1 0
- 2θ = 13.2°, d 6.703, I 7, hkl 1 0 0

```
data_DyY2Zn6
_cell_length_a 7.7404
_cell_length_b 7.7404
_cell_length_c 3.5267
_cell_angle_alpha 90.00
_cell_angle_beta 90.00
_cell_angle_gamma 120.00
_space_group_name_H-M_alt 'P 6/m m m'
_space_group_IT_number 191
_space_group_name_Hall '-P 6 2'
loop_
_atom_site_label
_atom_site_fract_x
_atom_site_fract_y
_atom_site_fract_z
Dy1 0.0000 0.0000 0.0000
Y1 0.3333 0.6667 0.0000
Zn1 0.0000 0.3332 0.5000
```

---

For Dy2YZn, a GGA-PBE-relaxed structure gives the simulated PXRD pattern in this record (Cu Ka).
Intensities are scaled so that the largest is 100.

Main lines, by intensity (10 to 90 degrees two-theta):
- 2θ = 33.7°, d 2.660, I 100, hkl 1 1 2
- 2θ = 34.1°, d 2.627, I 28, hkl 0 2 0
- 2θ = 29.1°, d 3.074, I 19, hkl 0 1 3
- 2θ = 31.5°, d 2.842, I 18, hkl 0 0 4
- 2θ = 60.8°, d 1.523, I 18, hkl 1 3 2
- 2θ = 47.1°, d 1.929, I 12, hkl 0 2 4
- 2θ = 15.6°, d 5.685, I 11, hkl 0 0 2
- 2θ = 61.6°, d 1.505, I 10, hkl 2 2 0
- 2θ = 59.4°, d 1.557, I 10, hkl 1 2 5
- 2θ = 47.0°, d 1.933, I 10, hkl 1 0 5

```
data_Dy2YZn
_cell_length_a 3.671
_cell_length_b 5.253
_cell_length_c 11.370
_cell_angle_alpha 90.00
_cell_angle_beta 90.00
_cell_angle_gamma 90.00
_space_group_name_H-M_alt 'I m m m'
_space_group_IT_number 71
_space_group_name_Hall '-I 2 2'
loop_
_atom_site_label
_atom_site_fract_x
_atom_site_fract_y
_atom_site_fract_z
Dy1 0.000 0.000 0.212
Y1 0.000 0.500 0.000
Zn1 0.000 0.500 0.500
```